No. 1
For KPaBiO4, a cell relaxed with PBE gives the computed X-ray diffraction stick pattern in this record (Cu Kα).
Peak positions follow from Bragg's law for the DFT cell and can differ from measured ones.

Largest 10 diffraction maxima, by intensity, 10 to 90 degrees two-theta:
hkl 1 0 1, 2θ 15.48, I 100.0
hkl 2 0 2, 2θ 31.28, I 87.7
hkl 0 2 2, 2θ 29.12, I 66.8
hkl 0 1 1, 2θ 14.44, I 65.4
hkl 1 2 1, 2θ 29.74, I 52.2
hkl 2 2 4, 2θ 48.21, I 50.0
hkl 2 2 0, 2θ 37.77, I 44.5
hkl 0 0 4, 2θ 28.85, I 40.7
hkl 1 0 3, 2θ 25.63, I 34.7
hkl 0 1 3, 2θ 25.00, I 30.0

Structural model:
```
data_KPaBiO4
_cell_length_a 6.4552
_cell_length_b 7.0595
_cell_length_c 12.3771
_cell_angle_alpha 90.00
_cell_angle_beta 90.00
_cell_angle_gamma 90.00
_symmetry_space_group_name_H-M 'I m m a'
_symmetry_Int_Tables_number 74
_symmetry_space_group_name_Hall '-I 2b 2'
loop_
_atom_site_label
_atom_site_fract_x
_atom_site_fract_y
_atom_site_fract_z
K1 0.0000 0.2500 0.1587
Pa1 0.0000 0.0000 0.5000
Bi1 0.2500 0.2500 0.7500
O1 0.0000 0.0256 0.6767
O2 0.2034 0.2500 0.4931
```


No. 2
For KPmBi4O8, a cell relaxed with PBE gives the computed X-ray diffraction stick pattern in this record (Cu Kα).
Peak positions follow from Bragg's law for the DFT cell and can differ from measured ones.

Largest 10 diffraction maxima, by intensity, 10 to 90 degrees two-theta:
hkl 1 1 3, 2θ 29.00, I 100.0
hkl 0 2 1, 2θ 29.18, I 72.3
hkl 2 0 2, 2θ 30.45, I 65.1
hkl 0 1 5, 2θ 28.64, I 49.2
hkl 2 0 8, 2θ 50.03, I 47.9
hkl 2 2 0, 2θ 50.93, I 46.0
hkl 0 2 4, 2θ 35.10, I 43.3
hkl 1 0 1, 2θ 15.09, I 38.8
hkl 1 2 5, 2θ 46.15, I 34.0
hkl 0 3 3, 2θ 46.39, I 29.4

Structural model:
```
data_KPmBi4O8
_cell_length_a 7.1721
_cell_length_b 7.1721
_cell_length_c 18.0167
_cell_angle_alpha 90.00
_cell_angle_beta 90.00
_cell_angle_gamma 120.00
_symmetry_space_group_name_H-M 'R 3 m'
_symmetry_Int_Tables_number 160
_symmetry_space_group_name_Hall 'R 3 -2"'
loop_
_atom_site_label
_atom_site_fract_x
_atom_site_fract_y
_atom_site_fract_z
K1 0.0000 0.0000 0.0000
Pm1 0.0000 0.0000 0.6280
Bi1 0.0000 0.0000 0.2520
Bi2 0.1712 0.3424 0.4586
O1 0.0000 0.0000 0.3743
O2 0.0000 0.0000 0.8544
O3 0.0549 0.5275 0.3897
O4 0.1791 0.3583 0.2191
```


No. 3
For K2PmBiO6, a cell relaxed with PBE gives the computed X-ray diffraction stick pattern in this record (Cu Kα).
Peak positions follow from Bragg's law for the DFT cell and can differ from measured ones.

Largest 10 diffraction maxima, by intensity, 10 to 90 degrees two-theta:
hkl 1 1 1, 2θ 28.44, I 100.0
hkl 0 0 2, 2θ 20.00, I 66.9
hkl 2 0 2, 2θ 50.35, I 41.7
hkl 0 0 4, 2θ 40.65, I 33.2
hkl 1 1 3, 2θ 45.70, I 32.4
hkl 4 2 0, 2θ 81.06, I 21.8
hkl 2 2 2, 2θ 58.84, I 20.8
hkl 1 1 5, 2θ 66.62, I 18.5
hkl 0 0 6, 2θ 62.80, I 15.9
hkl 2 0 0, 2θ 35.01, I 7.2

Structural model:
```
data_K2PmBiO6
_cell_length_a 6.2781
_cell_length_b 6.2763
_cell_length_c 10.8730
_cell_angle_alpha 90.00
_cell_angle_beta 125.25
_cell_angle_gamma 90.00
_symmetry_space_group_name_H-M 'P 1 21/c 1'
_symmetry_Int_Tables_number 14
loop_
_symmetry_equiv_pos_as_xyz
'x,y,z'
'-x,-y,-z'
'-x,y+1/2,-z+1/2'
'x,-y+1/2,z+1/2'
loop_
_atom_site_label
_atom_site_fract_x
_atom_site_fract_y
_atom_site_fract_z
K1 0.2501 0.0003 0.2499
Pm1 0.0000 0.0000 0.5000
Bi1 0.5000 0.0000 0.0000
O1 0.2560 0.0001 0.7611
O2 0.2618 0.2371 0.0028
O3 0.2657 0.7410 0.5026
```


No. 4
For KRbBiO3, a cell relaxed with PBE gives the computed X-ray diffraction stick pattern in this record (Cu Kα).
Peak positions follow from Bragg's law for the DFT cell and can differ from measured ones.

Largest 10 diffraction maxima, by intensity, 10 to 90 degrees two-theta:
hkl 1 1 0, 2θ 15.32, I 100.0
hkl 1 3 1, 2θ 29.76, I 73.1
hkl 1 3 -1, 2θ 27.43, I 68.5
hkl 2 0 0, 2θ 27.66, I 45.5
hkl 0 0 2, 2θ 28.78, I 39.7
hkl 2 0 -2, 2θ 36.75, I 29.8
hkl 2 0 2, 2θ 43.66, I 27.1
hkl 0 2 0, 2θ 13.56, I 23.6
hkl 0 4 1, 2θ 30.94, I 20.3
hkl 0 2 1, 2θ 19.74, I 19.7

Structural model:
```
data_KRbBiO3
_cell_length_a 6.5384
_cell_length_b 13.0621
_cell_length_c 6.2895
_cell_angle_alpha 90.00
_cell_angle_beta 99.45
_cell_angle_gamma 90.00
_symmetry_space_group_name_H-M 'C 1 2/c 1'
_symmetry_Int_Tables_number 15
loop_
_symmetry_equiv_pos_as_xyz
'x,y,z'
'-x,-y,-z'
'-x,y,-z+1/2'
'x,-y,z+1/2'
'x+1/2,y+1/2,z'
'-x+1/2,-y+1/2,-z'
'-x+1/2,y+1/2,-z+1/2'
'x+1/2,-y+1/2,z+1/2'
loop_
_atom_site_label
_atom_site_fract_x
_atom_site_fract_y
_atom_site_fract_z
K1 0.0000 0.0805 0.2500
Rb1 0.0000 0.2570 0.7500
Bi1 0.0000 0.4407 0.2500
O1 0.0000 0.2793 0.2500
O2 0.2036 0.4657 0.9923
```